1.
# FePH12C4Br4
Simulated powder X-ray diffraction pattern, λ = 1.5418 Å (Cu Kα). Input: a cell relaxed with PBE.

Cell and atoms:
```
FePH12C4Br4
1.0
0.000 5.915 5.915
5.915 0.000 5.915
5.915 5.915 0.000
Fe P H C Br
1 1 12 4 4
direct
0.000 0.000 0.000 Fe
0.500 0.500 0.500 P
0.184 0.534 0.534 H
0.184 0.534 0.749 H
0.184 0.749 0.534 H
0.534 0.184 0.534 H
0.534 0.184 0.749 H
0.534 0.534 0.184 H
0.534 0.534 0.749 H
0.534 0.749 0.184 H
0.534 0.749 0.534 H
0.749 0.184 0.534 H
0.749 0.534 0.184 H
0.749 0.534 0.534 H
0.237 0.588 0.588 C
0.588 0.237 0.588 C
0.588 0.588 0.237 C
0.588 0.588 0.588 C
0.115 0.115 0.115 Br
0.115 0.115 0.654 Br
0.115 0.654 0.115 Br
0.654 0.115 0.115 Br
```

Largest 8 diffraction maxima, low angle first, 2θ = 10–90°:
d (Å)  2theta  intensity
6.830  12.96  80
5.915  14.98  52
3.567  24.96  36
3.415  26.09  100
2.714  33.01  30
2.091  43.26  44
2.000  45.35  28
1.783  51.22  32


2.
# SrBrF
Simulated powder X-ray diffraction pattern, λ = 1.5418 Å (Cu Kα). Input: a cell relaxed with PBE.

Cell and atoms:
```
SrBrF
1.0
4.257 0.000 0.000
0.000 4.257 0.000
0.000 0.000 7.505
Sr Br F
2 2 2
direct
0.250 0.250 0.185 Sr
0.750 0.750 0.815 Sr
0.250 0.250 0.647 Br
0.750 0.750 0.353 Br
0.250 0.750 0.000 F
0.750 0.250 0.000 F
```

Largest 8 diffraction maxima, low angle first, 2θ = 10–90°:
d (Å)  2theta  intensity
3.010  29.68  65
2.815  31.79  100
2.348  38.34  30
2.128  42.47  39
1.717  53.36  19
1.698  54.02  43
1.505  61.63  12
1.336  70.47  16


3.
# GdIr3
Simulated powder X-ray diffraction pattern, λ = 1.5418 Å (Cu Kα). Input: a cell relaxed with PBE.

Cell and atoms:
```
GdIr3
1.0
4.073 0.000 0.000
0.000 4.073 0.000
0.000 0.000 4.073
Gd Ir
1 3
direct
0.000 0.000 0.000 Gd
0.000 0.500 0.500 Ir
0.500 0.000 0.500 Ir
0.500 0.500 0.000 Ir
```

Largest 7 diffraction maxima, low angle first, 2θ = 10–90°:
d (Å)  2theta  intensity
4.073  21.82  1
2.880  31.05  1
2.351  38.28  100
2.036  44.49  49
1.440  64.74  33
1.228  77.77  39
1.176  81.94  11